(1)
# Pm8Er2Ga
Theoretical X-ray powder pattern, Cu Ka. Input: a structure optimized by DFT (GGA-PBE).

Most intense lines, 2θ = 5–70°, most intense first:
- d 2.735, 2θ 32.75, intensity 1000, hkl 1 1 2
- d 2.949, 2θ 30.31, intensity 382, hkl 5 1 0
- d 2.774, 2θ 32.27, intensity 331, hkl 0 2 0
- d 1.594, 2θ 57.85, intensity 197, hkl 1 3 2
- d 1.557, 2θ 59.37, intensity 175, hkl 6 2 2
- d 3.435, 2θ 25.94, intensity 173, hkl 4 0 -2
- d 1.881, 2θ 48.40, intensity 161, hkl 6 0 2
- d 2.901, 2θ 30.82, intensity 137, hkl 6 0 0
- d 1.579, 2θ 58.45, intensity 120, hkl 9 1 -4
- d 1.550, 2θ 59.64, intensity 109, hkl 4 2 -4

Structure:
a = 18.9340 Å, b = 5.5487 Å, c = 7.4781 Å
α = 90.00°, β = 113.17°, γ = 90.00°
Space group C2/m (No. 12)
Unique sites:
Pm 0.9998 0.0000 0.2484 [4 per cell]
Pm 0.1317 0.5000 0.3973 [4 per cell]
Pm 0.1324 0.5000 0.8683 [4 per cell]
Pm 0.1830 0.0000 0.1835 [4 per cell]
Er 0.1917 0.0000 0.6913 [4 per cell]
Ga 0.0000 0.5000 0.0000 [2 per cell]

***

(2)
# Tm3B3O7
Theoretical X-ray powder pattern, Cu Ka. Input: a structure optimized by DFT (GGA-PBE).

Most intense lines, 2θ = 5–70°, most intense first:
- d 2.561, 2θ 35.04, intensity 1000, hkl 6 1 1
- d 4.167, 2θ 21.32, intensity 919, hkl 6 0 0
- d 3.246, 2θ 27.48, intensity 896, hkl 0 1 1
- d 2.670, 2θ 33.56, intensity 591, hkl 6 0 2
- d 3.478, 2θ 25.61, intensity 511, hkl 0 0 2
- d 1.753, 2θ 52.17, intensity 419, hkl 12 1 1
- d 1.774, 2θ 51.52, intensity 392, hkl 6 1 3
- d 1.960, 2θ 46.31, intensity 381, hkl 0 1 3
- d 1.512, 2θ 61.30, intensity 214, hkl 6 2 2
- d 1.787, 2θ 51.11, intensity 214, hkl 12 0 2

Structure:
a = 24.9997 Å, b = 3.6699 Å, c = 6.9569 Å
α = 90.00°, β = 90.00°, γ = 90.00°
Space group Amm2 (No. 38)
Unique sites:
Tm 0.0819 0.0000 0.0000 [4 per cell]
Tm 0.2455 0.0000 0.0040 [4 per cell]
Tm 0.4183 0.0000 0.0048 [4 per cell]
B 0.0000 0.0000 0.2361 [2 per cell]
B 0.1636 0.0000 0.7645 [4 per cell]
B 0.3319 0.0000 0.3773 [4 per cell]
B 0.5000 0.0000 0.7662 [2 per cell]
O 0.0482 0.0000 0.3363 [4 per cell]
O 0.1158 0.0000 0.6619 [4 per cell]
O 0.2122 0.0000 0.6654 [4 per cell]
O 0.2794 0.0000 0.3343 [4 per cell]
O 0.3319 0.0000 0.9903 [4 per cell]
O 0.3845 0.0000 0.3345 [4 per cell]
O 0.4518 0.0000 0.6648 [4 per cell]

***

(3)
# PrSm4Co4
Theoretical X-ray powder pattern, Cu Ka. Input: a structure optimized by DFT (GGA-PBE).

Most intense lines, 2θ = 5–70°, most intense first:
- d 2.718, 2θ 32.96, intensity 1000, hkl 1 3 0
- d 3.188, 2θ 27.99, intensity 783, hkl 2 1 1
- d 2.708, 2θ 33.09, intensity 546, hkl 1 0 2
- d 1.922, 2θ 47.30, intensity 298, hkl 4 2 0
- d 1.829, 2θ 49.85, intensity 298, hkl 2 3 2
- d 2.291, 2θ 39.33, intensity 297, hkl 1 2 2
- d 1.646, 2θ 55.86, intensity 244, hkl 5 0 1
- d 2.454, 2θ 36.62, intensity 212, hkl 3 1 1
- d 1.683, 2θ 54.52, intensity 189, hkl 4 1 2
- d 2.022, 2θ 44.83, intensity 161, hkl 3 0 2

Structure:
a = 8.5945 Å, b = 8.5945 Å, c = 5.7056 Å
α = 90.00°, β = 90.00°, γ = 90.00°
Space group P4_2/n (No. 86, origin choice 2)
Unique sites:
Pr 0.2500 0.2500 0.2500 [2 per cell]
Sm 0.0610 0.6744 0.1331 [8 per cell]
Co 0.0163 0.6100 0.6122 [8 per cell]

***

(4)
# Cs2Ga2HgCl6
Theoretical X-ray powder pattern, Cu Ka. Input: a structure optimized by DFT (GGA-PBE).

Most intense lines, 2θ = 5–70°, most intense first:
- d 4.894, 2θ 18.13, intensity 1000, hkl 1 -1 0
- d 4.934, 2θ 17.98, intensity 916, hkl 1 0 -1
- d 3.983, 2θ 22.32, intensity 869, hkl 1 2 0
- d 4.395, 2θ 20.20, intensity 737, hkl 2 1 1
- d 4.457, 2θ 19.92, intensity 563, hkl 1 1 2
- d 2.842, 2θ 31.48, intensity 491, hkl 1 -2 1
- d 4.039, 2θ 22.00, intensity 381, hkl 1 0 2
- d 4.180, 2θ 21.26, intensity 374, hkl 1 1 -1
- d 1.864, 2θ 48.86, intensity 308, hkl 4 2 4
- d 6.591, 2θ 13.43, intensity 306, hkl 1 0 1

Structure:
a = 8.8662 Å, b = 8.8896 Å, c = 9.0238 Å
α = 67.04°, β = 66.77°, γ = 66.91°
Space group P-1 (No. 2)
Unique sites:
Cs 0.2074 0.2090 0.1977 [2 per cell]
Ga 0.0824 0.0823 0.8735 [2 per cell]
Hg 0.5000 0.5000 0.5000 [1 per cell]
Cl 0.0033 0.3618 0.8596 [2 per cell]
Cl 0.0685 0.0665 0.6359 [2 per cell]
Cl 0.3628 0.0060 0.8584 [2 per cell]

***

(5)
# Cs2YF5
Theoretical X-ray powder pattern, Cu Ka. Input: a structure optimized by DFT (GGA-PBE).

Most intense lines, 2θ = 5–70°, most intense first:
- d 3.279, 2θ 27.19, intensity 1000, hkl 1 1 1
- d 3.460, 2θ 25.75, intensity 448, hkl 2 0 0
- d 6.920, 2θ 12.79, intensity 439, hkl 1 0 0
- d 1.961, 2θ 46.30, intensity 436, hkl 3 1 1
- d 2.447, 2θ 36.73, intensity 389, hkl 2 2 0
- d 2.724, 2θ 32.88, intensity 382, hkl 2 0 1
- d 4.893, 2θ 18.13, intensity 248, hkl 1 1 0
- d 1.640, 2θ 56.09, intensity 213, hkl 2 2 2
- d 1.862, 2θ 48.92, intensity 158, hkl 2 0 2
- d 2.209, 2θ 40.85, intensity 148, hkl 0 0 2

Structure:
a = 6.9198 Å, b = 6.9198 Å, c = 4.4182 Å
α = 90.00°, β = 90.00°, γ = 90.00°
Space group P4/mmm (No. 123)
Unique sites:
Cs 0.0000 0.5000 0.0000 [2 per cell]
Y 0.0000 0.0000 0.5000 [1 per cell]
F 0.0000 0.0000 0.0000 [1 per cell]
F 0.2218 0.2218 0.5000 [4 per cell]

***

(6)
# CaTlAuSeNF
Theoretical X-ray powder pattern, Cu Ka. Input: a structure optimized by DFT (GGA-PBE).

Most intense lines, 2θ = 5–70°, most intense first:
- d 3.170, 2θ 28.15, intensity 1000, hkl 0 2 -1
- d 5.745, 2θ 15.42, intensity 740, hkl 0 0 1
- d 2.676, 2θ 33.48, intensity 725, hkl -1 1 1
- d 2.553, 2θ 35.16, intensity 666, hkl 1 0 1
- d 3.013, 2θ 29.65, intensity 642, hkl 1 1 -1
- d 5.514, 2θ 16.07, intensity 509, hkl 0 1 -1
- d 2.660, 2θ 33.70, intensity 475, hkl 1 1 -2
- d 1.978, 2θ 45.88, intensity 422, hkl 1 -2 2
- d 3.256, 2θ 27.40, intensity 373, hkl 0 1 -2
- d 2.148, 2θ 42.07, intensity 327, hkl 0 1 -3

Structure:
a = 3.4241 Å, b = 6.3401 Å, c = 6.7383 Å
α = 117.19°, β = 104.68°, γ = 90.04°
Space group P1 (No. 1)
Unique sites:
Ca 0.0000 0.0000 0.0000 [1 per cell]
Tl 0.6668 0.7113 0.3466 [1 per cell]
Au 0.2653 0.2487 0.5306 [1 per cell]
Se 0.9223 0.4265 0.8448 [1 per cell]
N 0.6478 0.0969 0.2949 [1 per cell]
F 0.3743 0.8828 0.7487 [1 per cell]